The following is a calculated powder diffraction line list of IrF6. It was derived from a cell relaxed with GGA-PBE, using Cu Kα (λ = 1.5418 Å).

Structural model:
a b c (Å): 9.7495 8.8565 5.1344
angles (deg): 90.00 90.00 90.00
Positions (direct):
Ir 0.1269 0.2500 0.0941
Ir 0.3731 0.7500 0.5941
Ir 0.6269 0.2500 0.4059
Ir 0.8731 0.7500 0.9059
F 0.0111 0.2500 0.8025
F 0.0183 0.1002 0.2497
F 0.0183 0.3998 0.2497
F 0.2358 0.1004 0.9390
F 0.2358 0.3996 0.9390
F 0.2423 0.2500 0.3866
F 0.2577 0.7500 0.8866
F 0.2642 0.6004 0.4390
F 0.2642 0.8996 0.4390
F 0.4817 0.6002 0.7497
F 0.4817 0.8998 0.7497
F 0.4889 0.7500 0.3025
F 0.5111 0.2500 0.6975
F 0.5183 0.1002 0.2503
F 0.5183 0.3998 0.2503
F 0.7358 0.1004 0.5610
F 0.7358 0.3996 0.5610
F 0.7423 0.2500 0.1134
F 0.7577 0.7500 0.6134
F 0.7642 0.6004 0.0610
F 0.7642 0.8996 0.0610
F 0.9817 0.6002 0.7503
F 0.9817 0.8998 0.7503
F 0.9889 0.7500 0.1975

Principal peaks in the range 2θ = 10–90°, by angle:
19.54°, I 40, hkl 1 0 1
20.03°, I 90, hkl 0 2 0
20.80°, I 100, hkl 2 1 0
21.99°, I 60, hkl 1 1 1
28.14°, I 30, hkl 1 2 1
35.55°, I 20, hkl 2 3 0

The following is a calculated powder diffraction line list of Ir3F. It was derived from a cell relaxed with GGA-PBE, using Cu Kα (λ = 1.5418 Å).

Structural model:
a b c (Å): 6.0478 6.0478 6.0478
angles (deg): 90.00 90.00 90.00
Positions (direct):
Ir 0.0000 0.0000 0.0000
Ir 0.0000 0.5000 0.5000
Ir 0.2500 0.2500 0.2500
Ir 0.2500 0.2500 0.7500
Ir 0.2500 0.7500 0.2500
Ir 0.2500 0.7500 0.7500
Ir 0.5000 0.0000 0.5000
Ir 0.5000 0.5000 0.0000
Ir 0.7500 0.2500 0.2500
Ir 0.7500 0.2500 0.7500
Ir 0.7500 0.7500 0.2500
Ir 0.7500 0.7500 0.7500
F 0.0000 0.0000 0.5000
F 0.0000 0.5000 0.0000
F 0.5000 0.0000 0.0000
F 0.5000 0.5000 0.5000

Principal peaks in the range 2θ = 10–90°, by angle:
25.51°, I 21, hkl 1 1 1
29.54°, I 11, hkl 2 0 0
42.27°, I 100, hkl 2 2 0
50.02°, I 11, hkl 3 1 1
61.31°, I 17, hkl 4 0 0
77.29°, I 34, hkl 4 2 2

- What is the formula in the first record?
  IrF6

- Which formula does entry 2 have?
  Ir3F

- Which formula does entry 2 have?
  Ir3F